No. 1
For Ga2Pb5, a DFT-relaxed cell (PBE, Alexandria) gives the computed powder diffraction line list in this record (λ = 1.5418 Å (Cu Kα)).
Lines closer than 0.1° are merged.

Main lines, in order of falling intensity (5 to 70 degrees two-theta):
2θ = 32.2°, d = 2.779 Å, I 1000; 2θ = 36.0°, d = 2.494 Å, I 535; 2θ = 29.0°, d = 3.080 Å, I 396; 2θ = 62.4°, d = 1.489 Å, I 310; 2θ = 50.4°, d = 1.810 Å, I 254; 2θ = 34.1°, d = 2.632 Å, I 182; 2θ = 61.7°, d = 1.504 Å, I 180; 2θ = 51.8°, d = 1.764 Å, I 179; 2θ = 5.6°, d = 15.790 Å, I 127; 2θ = 63.5°, d = 1.465 Å, I 126

Crystal structure
a b c (Å): 15.9856 15.9856 15.9856
angles (deg): 167.33 167.33 17.95
Sites, in units of the cell vectors:
Ga (0.2272, 0.2272, 0.0000)
Ga (0.7728, 0.7728, 0.0000)
Pb (0.0793, 0.0793, 0.0000)
Pb (0.3401, 0.3401, 0.0000)
Pb (0.5000, 0.5000, 0.0000)
Pb (0.6599, 0.6599, 0.0000)
Pb (0.9207, 0.9207, 0.0000)

=====

No. 2
For GaPb3, a DFT-relaxed cell (PBE, Alexandria) gives the computed powder diffraction line list in this record (λ = 1.5418 Å (Cu Kα)).
Lines closer than 0.1° are merged.

Main lines, in order of falling intensity (5 to 70 degrees two-theta):
2θ = 31.9°, d = 2.809 Å, I 1000; 2θ = 35.9°, d = 2.499 Å, I 315; 2θ = 54.0°, d = 1.698 Å, I 190; 2θ = 29.9°, d = 2.992 Å, I 184; 2θ = 38.9°, d = 2.313 Å, I 176; 2θ = 62.0°, d = 1.496 Å, I 167; 2θ = 26.2°, d = 3.395 Å, I 117; 2θ = 66.1°, d = 1.413 Å, I 117; 2θ = 40.9°, d = 2.208 Å, I 81; 2θ = 54.4°, d = 1.686 Å, I 79

Crystal structure
a b c (Å): 7.0690 7.0690 9.2525
angles (deg): 90.00 90.00 90.00
Sites, in units of the cell vectors:
Ga (0.0000, 0.5000, 0.2288)
Ga (0.0000, 0.5000, 0.7712)
Ga (0.5000, 0.0000, 0.2288)
Ga (0.5000, 0.0000, 0.7712)
Pb (0.0000, 0.0000, 0.2579)
Pb (0.0000, 0.0000, 0.7421)
Pb (0.1851, 0.3149, 0.5000)
Pb (0.2360, 0.7360, 0.0000)
Pb (0.2640, 0.2360, 0.0000)
Pb (0.3149, 0.8149, 0.5000)
Pb (0.5000, 0.5000, 0.2579)
Pb (0.5000, 0.5000, 0.7421)
Pb (0.6851, 0.1851, 0.5000)
Pb (0.7360, 0.7640, 0.0000)
Pb (0.7640, 0.2640, 0.0000)
Pb (0.8149, 0.6851, 0.5000)

=====

No. 3
For Ga3Pb5, a DFT-relaxed cell (PBE, Alexandria) gives the computed powder diffraction line list in this record (λ = 1.5418 Å (Cu Kα)).
Lines closer than 0.1° are merged.

Main lines, in order of falling intensity (5 to 70 degrees two-theta):
2θ = 29.6°, d = 3.018 Å, I 1000; 2θ = 32.8°, d = 2.731 Å, I 788; 2θ = 35.6°, d = 2.523 Å, I 690; 2θ = 52.3°, d = 1.748 Å, I 315; 2θ = 60.3°, d = 1.536 Å, I 282; 2θ = 62.2°, d = 1.493 Å, I 257; 2θ = 51.2°, d = 1.784 Å, I 248; 2θ = 5.2°, d = 16.978 Å, I 223; 2θ = 60.4°, d = 1.533 Å, I 207; 2θ = 37.1°, d = 2.425 Å, I 206

Crystal structure
a b c (Å): 3.5676 3.5676 16.9778
angles (deg): 90.00 90.00 90.00
Sites, in units of the cell vectors:
Ga (0.0000, 0.0000, 0.0000)
Ga (0.5000, 0.5000, 0.0826)
Ga (0.5000, 0.5000, 0.9174)
Pb (0.0000, 0.0000, 0.2022)
Pb (0.0000, 0.0000, 0.5000)
Pb (0.0000, 0.0000, 0.7978)
Pb (0.5000, 0.5000, 0.3528)
Pb (0.5000, 0.5000, 0.6472)

=====

No. 4
For Ga2Pb, a DFT-relaxed cell (PBE, Alexandria) gives the computed powder diffraction line list in this record (λ = 1.5418 Å (Cu Kα)).
Lines closer than 0.1° are merged.

Main lines, in order of falling intensity (5 to 70 degrees two-theta):
2θ = 32.7°, d = 2.741 Å, I 1000; 2θ = 38.0°, d = 2.366 Å, I 532; 2θ = 21.7°, d = 4.098 Å, I 295; 2θ = 51.0°, d = 1.791 Å, I 290; 2θ = 65.3°, d = 1.428 Å, I 276; 2θ = 64.0°, d = 1.455 Å, I 231; 2θ = 68.7°, d = 1.366 Å, I 94; 2θ = 49.4°, d = 1.844 Å, I 84; 2θ = 54.6°, d = 1.682 Å, I 55; 2θ = 44.2°, d = 2.049 Å, I 50

Crystal structure
a b c (Å): 4.7319 4.7319 3.6884
angles (deg): 90.00 90.00 120.00
Sites, in units of the cell vectors:
Ga (0.3333, 0.6667, 0.0000)
Ga (0.6667, 0.3333, 0.0000)
Pb (0.0000, 0.0000, 0.5000)

=====

No. 5
For GaPb, a DFT-relaxed cell (PBE, Alexandria) gives the computed powder diffraction line list in this record (λ = 1.5418 Å (Cu Kα)).
Lines closer than 0.1° are merged.

Main lines, in order of falling intensity (5 to 70 degrees two-theta):
2θ = 21.3°, d = 4.166 Å, I 1000; 2θ = 41.2°, d = 2.190 Å, I 769; 2θ = 24.4°, d = 3.642 Å, I 711; 2θ = 27.4°, d = 3.257 Å, I 695; 2θ = 35.3°, d = 2.540 Å, I 400; 2θ = 45.3°, d = 2.003 Å, I 372; 2θ = 39.2°, d = 2.297 Å, I 372; 2θ = 43.4°, d = 2.083 Å, I 314; 2θ = 24.6°, d = 3.616 Å, I 300; 2θ = 68.2°, d = 1.375 Å, I 279

Crystal structure
a b c (Å): 7.2835 7.2835 5.0791
angles (deg): 90.00 90.00 90.00
Sites, in units of the cell vectors:
Ga (0.2250, 0.2250, 0.0000)
Ga (0.2750, 0.7250, 0.5000)
Ga (0.7250, 0.2750, 0.5000)
Ga (0.7750, 0.7750, 0.0000)
Pb (0.1631, 0.8369, 0.0000)
Pb (0.3369, 0.3369, 0.5000)
Pb (0.6631, 0.6631, 0.5000)
Pb (0.8369, 0.1631, 0.0000)

=====

No. 6
For GaPb3, a DFT-relaxed cell (PBE, Alexandria) gives the computed powder diffraction line list in this record (λ = 1.5418 Å (Cu Kα)).
Lines closer than 0.1° are merged.

Main lines, in order of falling intensity (5 to 70 degrees two-theta):
2θ = 33.8°, d = 2.652 Å, I 1000; 2θ = 29.4°, d = 3.042 Å, I 304; 2θ = 33.2°, d = 2.698 Å, I 207; 2θ = 44.9°, d = 2.018 Å, I 149; 2θ = 28.8°, d = 3.096 Å, I 141; 2θ = 59.7°, d = 1.549 Å, I 129; 2θ = 52.1°, d = 1.756 Å, I 102; 2θ = 63.2°, d = 1.472 Å, I 92; 2θ = 63.0°, d = 1.475 Å, I 85; 2θ = 51.9°, d = 1.761 Å, I 73

Crystal structure
a b c (Å): 6.4382 6.4382 6.4382
angles (deg): 148.24 66.11 123.69
Sites, in units of the cell vectors:
Ga (0.0000, 0.0000, 0.0000)
Pb (0.3850, 0.6580, 0.7270)
Pb (0.5598, 0.0598, 0.5000)
Pb (0.9309, 0.6580, 0.2730)